# DyEr2Rh9
Calculated X-ray diffraction stick pattern, Cu Kα, 1.54184 Å. Input: the PBE geometry in Alexandria.
No peak broadening, texture or thermal motion is included.

Main lines, by angle (2θ from 5° to 70°):
2θ (°)  I (rel.)  h k l
30.92  29  1 0 7
33.69  30  0 1 8
34.20  38  1 1 0
39.85  35  0 2 1
40.09  100  1 1 6
41.26  19  0 0 12
42.11  13  0 2 4
42.80  18  0 1 11
43.42  27  2 0 5
65.21  23  3 0 6

Atomic structure:
Cell lengths 5.2443, 5.2443, 26.2558 Å; angles 90.00, 90.00, 120.00 degrees
Space group R-3m (No. 166, hexagonal axes)
One atom of each set of equivalent atoms:
1 Dy 0.0000 0.0000 0.0000 [3 per cell]
2 Er 0.0000 0.0000 0.1391 [6 per cell]
3 Rh 0.0000 0.0000 0.3331 [6 per cell]
4 Rh 0.0000 0.0000 0.5000 [3 per cell]
5 Rh 0.0007 0.5003 0.9170 [18 per cell]